Entry 1:
The following is a computed X-ray powder pattern of MgV2Pb3O8. It was derived from a cell relaxed with PBE+U, using copper Kα.
No peak broadening, texture or thermal motion is included.

Atomic structure:
```
14
Lattice="5.9028 0.0000 0.0000 -2.3844 5.4949 0.0000 -0.4490 -3.1256 7.7493" Properties=species:S:1:pos:R:3 pbc="T T T"
Mg 0.0000 0.0000 0.0000
V 1.6383 -0.7640 3.2226
V 2.7964 2.1006 0.3055
Pb -0.0151 0.3629 6.5831
Pb 1.7320 2.9283 4.2288
Pb 4.7794 1.0956 2.6413
O -1.2601 4.7784 1.5460
O -0.5371 2.9604 3.8303
O 0.5800 0.2046 4.3239
O 0.7884 -1.6626 7.2143
O 2.5713 2.2103 2.1007
O 3.4444 -0.4509 3.6413
O 2.1610 0.6748 7.2581
O 3.8056 -1.9008 7.5450
```

Most intense lines, 10 to 90 degrees two-theta, low angle first:
2theta, Rel. int., (hkl)
18.1, 65, 1 -1 0
22.2, 52, 1 0 1
23.0, 74, -1 1 1
23.1, 56, 0 1 -2
24.2, 41, 0 1 1
25.5, 51, 1 0 -2
27.4, 100, 1 1 -1
31.6, 35, 1 -2 0
32.5, 41, -2 1 1
32.8, 48, 2 -1 1
33.0, 42, 1 -2 2
56.5, 32, 2 2 -2

***

Entry 2:
The following is a computed X-ray powder pattern of Li9Mn2Co5O16. It was derived from a cell relaxed with PBE+U, using copper Kα.
No peak broadening, texture or thermal motion is included.

Atomic structure:
```
32
Lattice="5.0999 0.0000 0.0000 -1.7047 4.8374 0.0000 -0.3284 -0.3352 11.6338" Properties=species:S:1:pos:R:3 pbc="T T T"
Li 0.0000 0.0000 0.0000
Li -0.9699 2.2826 4.4007
Li -0.8770 2.3587 1.4162
Li -1.0321 2.2176 7.2578
Li 1.4318 2.1371 8.7607
Li 1.5464 2.2489 5.8430
Li 1.7254 2.4230 0.0095
Li 1.6539 2.3512 2.8670
Li 3.9426 2.1291 10.2126
Mn 0.5680 4.5150 10.2336
Mn 2.4531 -0.1103 4.3370
Co -1.8549 4.6660 5.8542
Co -0.0524 -0.0648 2.7992
Co 0.6345 4.5772 7.2794
Co 2.5190 0.0005 1.4139
Co 3.1358 4.5459 8.8314
O 0.6235 0.8871 7.2396
O 0.7626 0.9561 4.3189
O -0.1686 3.4822 5.9009
O 0.6290 0.7681 10.1218
O -0.2223 3.4393 8.8145
O 0.9865 1.0314 1.4757
O 0.0073 3.7036 2.8126
O 0.1354 3.7490 0.0286
O 3.2937 1.0986 0.0203
O 3.0728 0.8018 8.8397
O 3.1940 0.9366 5.8126
O 2.1569 3.4328 10.1664
O 2.4290 3.7486 1.5224
O 3.3533 1.0957 2.7476
O 2.4201 3.6348 4.4031
O 2.3692 3.5244 7.3131
```

Most intense lines, 10 to 90 degrees two-theta, low angle first:
2theta, Rel. int., (hkl)
18.3, 100, 0 1 0
35.5, 15, 1 0 -4
35.8, 14, 2 -1 0
36.7, 12, 1 0 4
42.8, 29, 1 1 -4
43.4, 28, 2 -2 0
44.6, 25, 1 1 4
62.5, 15, -3 1 4
63.0, 7, 2 2 0
63.6, 7, -1 3 4
64.0, 7, 0 0 8
64.3, 7, 3 -1 4